[1]
Simulated powder diffraction line list
Compound: Ho6Pt5Rh
Radiation: copper Kα
Structure: a cell relaxed with GGA-PBE
No peak broadening, texture or thermal motion is included.

Structure:
Unit cell a=4.8957 b=6.9423 c=14.7199 alpha=90.00 beta=90.00 gamma=90.00
Space group Immm (No. 71)
One atom of each set of equivalent atoms:
Ho 0.0000 0.2493 0.0000
Ho 0.0000 0.2506 0.3341
Pt 0.0000 0.0000 0.1626
Pt 0.0000 0.0000 0.5000
Pt 0.0000 0.5000 0.1690
Rh 0.0000 0.5000 0.5000

Top 5 peaks for 5 to 70 degrees two-theta, by intensity:
36.65 deg, I 100.0, (2 0 0); 65.96 deg, I 24.1, (2 4 0); 52.80 deg, I 17.7, (0 4 0); 66.07 deg, I 12.1, (3 2 3); 25.34 deg, I 0.5, (1 1 2)


[2]
Simulated powder diffraction line list
Compound: Ho5PtRh2
Radiation: copper Kα
Structure: a cell relaxed with GGA-PBE
No peak broadening, texture or thermal motion is included.

Structure:
Unit cell a=7.4048 b=7.4048 c=13.6598 alpha=90.00 beta=90.00 gamma=90.00
Space group I4/mcm (No. 140)
One atom of each set of equivalent atoms:
Ho 0.0000 0.0000 0.0000
Ho 0.1689 0.3311 0.1420
Pt 0.0000 0.0000 0.2500
Rh 0.1339 0.3661 0.5000

Top 10 peaks for 5 to 70 degrees two-theta, by intensity:
33.46 deg, I 100.0, (2 1 3); 38.44 deg, I 61.0, (3 1 0); 35.77 deg, I 49.3, (2 0 4); 31.27 deg, I 27.5, (1 1 4); 34.25 deg, I 19.3, (2 2 0); 67.94 deg, I 19.2, (3 1 8); 59.48 deg, I 18.2, (3 3 4); 54.96 deg, I 16.8, (4 1 3); 42.92 deg, I 11.0, (2 1 5); 27.72 deg, I 9.9, (2 1 1)


[3]
Simulated powder diffraction line list
Compound: Ho8Pt2Rh3
Radiation: copper Kα
Structure: a cell relaxed with GGA-PBE
No peak broadening, texture or thermal motion is included.

Structure:
Unit cell a=9.6906 b=13.6402 c=4.8085 alpha=90.00 beta=90.00 gamma=90.00
Space group Cmmm (No. 65)
One atom of each set of equivalent atoms:
Ho 0.0000 0.1226 0.0000
Ho 0.0000 0.3759 0.0000
Ho 0.2494 0.3768 0.5000
Pt 0.0000 0.2485 0.5000
Rh 0.0000 0.5000 0.5000
Rh 0.2486 0.5000 0.0000

Top 10 peaks for 5 to 70 degrees two-theta, by intensity:
37.27 deg, I 100.0, (2 4 1); 67.37 deg, I 26.6, (2 4 3); 53.73 deg, I 26.3, (4 0 2); 37.11 deg, I 25.3, (4 0 0); 37.40 deg, I 24.8, (0 0 2); 67.00 deg, I 18.0, (6 4 1); 26.12 deg, I 17.0, (2 0 1); 22.51 deg, I 10.9, (2 2 0); 22.63 deg, I 10.7, (0 2 1); 67.13 deg, I 8.9, (4 8 0)


[4]
Simulated powder diffraction line list
Compound: Ho3Pt2Rh
Radiation: copper Kα
Structure: a cell relaxed with GGA-PBE
No peak broadening, texture or thermal motion is included.

Structure:
Unit cell a=4.8982 b=14.7007 c=6.8735 alpha=90.00 beta=90.00 gamma=90.00
Space group Cmmm (No. 65)
One atom of each set of equivalent atoms:
Ho 0.0000 0.0000 0.2479
Ho 0.0000 0.3321 0.2474
Pt 0.0000 0.1652 0.5000
Pt 0.0000 0.5000 0.0000
Pt 0.0000 0.5000 0.5000
Rh 0.0000 0.1692 0.0000

Top 10 peaks for 5 to 70 degrees two-theta, by intensity:
36.84 deg, I 100.0, (1 3 2); 36.69 deg, I 50.6, (2 0 0); 66.16 deg, I 36.4, (3 3 2); 66.46 deg, I 17.9, (2 0 4); 52.86 deg, I 17.9, (2 6 0); 53.31 deg, I 8.7, (0 0 4); 12.88 deg, I 1.8, (0 0 1); 28.86 deg, I 1.7, (1 3 1); 23.10 deg, I 0.7, (1 1 1); 39.04 deg, I 0.6, (0 6 1)


[5]
Simulated powder diffraction line list
Compound: Ho3PtRh
Radiation: copper Kα
Structure: a cell relaxed with GGA-PBE
No peak broadening, texture or thermal motion is included.

Structure:
Unit cell a=8.5537 b=7.2556 c=8.0675 alpha=90.00 beta=105.58 gamma=90.00
Space group P2_1/c (No. 14)
One atom of each set of equivalent atoms:
Ho 0.0525 0.0009 0.2173
Ho 0.2853 0.6486 0.1083
Ho 0.3576 0.1869 0.9954
Pt 0.4101 0.5407 0.8077
Rh 0.0606 0.1882 0.5216

Top 10 peaks for 5 to 70 degrees two-theta, by intensity:
33.84 deg, I 100.0, (0 2 2); 35.64 deg, I 61.6, (1 1 -3); 39.66 deg, I 60.9, (1 3 -1); 36.84 deg, I 55.9, (2 2 1); 29.71 deg, I 27.5, (2 1 -2); 32.60 deg, I 26.1, (3 0 0); 30.40 deg, I 23.2, (1 2 1); 43.87 deg, I 21.1, (2 2 2); 32.89 deg, I 18.3, (2 2 0); 42.86 deg, I 15.9, (3 2 -2)


[6]
Simulated powder diffraction line list
Compound: SmHoPtRh
Radiation: copper Kα
Structure: a cell relaxed with GGA-PBE
No peak broadening, texture or thermal motion is included.

Structure:
Unit cell a=4.3611 b=3.8274 c=10.6604 alpha=90.00 beta=90.00 gamma=90.00
Space group Amm2 (No. 38)
One atom of each set of equivalent atoms:
Sm 0.0000 0.0000 0.0000
Ho 0.5000 0.0000 0.2822
Pt 0.5000 0.0000 0.5604
Rh 0.0000 0.0000 0.7347

Top 10 peaks for 5 to 70 degrees two-theta, by intensity:
32.23 deg, I 100.0, (1 1 1); 40.34 deg, I 66.4, (1 1 3); 41.41 deg, I 29.3, (2 0 0); 33.63 deg, I 29.2, (0 0 4); 39.63 deg, I 24.5, (1 0 4); 34.44 deg, I 20.8, (0 1 3); 47.51 deg, I 19.8, (0 2 0); 64.82 deg, I 15.6, (2 2 0); 54.36 deg, I 15.0, (2 0 4); 66.01 deg, I 14.8, (0 1 7)


[7]
Simulated powder diffraction line list
Compound: Ho8Ru3Pt2
Radiation: copper Kα
Structure: a cell relaxed with GGA-PBE
No peak broadening, texture or thermal motion is included.

Structure:
Unit cell a=9.6121 b=13.6486 c=4.7971 alpha=90.00 beta=90.00 gamma=90.00
Space group Cmmm (No. 65)
One atom of each set of equivalent atoms:
Ho 0.0000 0.1198 0.0000
Ho 0.0000 0.3782 0.0000
Ho 0.2502 0.1199 0.5000
Ru 0.0000 0.5000 0.5000
Ru 0.2494 0.5000 0.0000
Pt 0.0000 0.2496 0.5000

Top 10 peaks for 5 to 70 degrees two-theta, by intensity:
37.38 deg, I 100.0, (4 0 0); 67.52 deg, I 28.3, (6 4 1); 37.50 deg, I 20.0, (0 0 2); 22.64 deg, I 17.3, (2 2 0); 54.02 deg, I 14.0, (4 0 2); 67.33 deg, I 13.9, (4 8 0); 26.25 deg, I 9.4, (2 0 1); 53.73 deg, I 6.9, (0 8 0); 44.22 deg, I 6.0, (2 2 2); 26.12 deg, I 4.6, (0 4 0)


[8]
Simulated powder diffraction line list
Compound: Ho4PtS3
Radiation: copper Kα
Structure: a cell relaxed with GGA-PBE
No peak broadening, texture or thermal motion is included.

Structure:
Unit cell a=8.0159 b=11.2263 c=3.8784 alpha=90.00 beta=90.00 gamma=90.00
Space group Cmmm (No. 65)
One atom of each set of equivalent atoms:
Ho 0.0000 0.2490 0.0000
Ho 0.2478 0.5000 0.5000
Pt 0.0000 0.5000 0.0000
S 0.0000 0.0000 0.0000
S 0.2500 0.2500 0.5000

Top 10 peaks for 5 to 70 degrees two-theta, by intensity:
32.11 deg, I 100.0, (2 0 1); 45.89 deg, I 73.9, (2 4 1); 31.89 deg, I 51.0, (0 4 0); 27.34 deg, I 21.6, (2 2 0); 13.57 deg, I 20.9, (1 1 0); 27.96 deg, I 20.4, (0 2 1); 56.42 deg, I 20.0, (4 4 0); 45.25 deg, I 19.2, (4 0 0); 57.79 deg, I 18.6, (0 4 2); 46.85 deg, I 17.4, (0 0 2)


[9]
Simulated powder diffraction line list
Compound: Ho7PtS5
Radiation: copper Kα
Structure: a cell relaxed with GGA-PBE
No peak broadening, texture or thermal motion is included.

Structure:
Unit cell a=3.8492 b=23.3757 c=6.6815 alpha=90.00 beta=106.67 gamma=90.00
Space group P2_1/m (No. 11)
One atom of each set of equivalent atoms:
Ho 0.0368 0.2500 0.0727
Ho 0.1373 0.5365 0.2756
Ho 0.3062 0.1776 0.6127
Ho 0.4097 0.6099 0.8201
Pt 0.3019 0.7500 0.6040
S 0.0495 0.6414 0.1000
S 0.2255 0.0704 0.4499
S 0.5000 0.0000 0.0000

Top 10 peaks for 5 to 70 degrees two-theta, by intensity:
30.19 deg, I 100.0, (0 7 1); 32.24 deg, I 92.1, (1 2 -2); 33.39 deg, I 61.1, (1 3 1); 46.82 deg, I 43.6, (0 5 3); 28.63 deg, I 36.7, (1 4 0); 30.89 deg, I 34.5, (1 5 -1); 57.08 deg, I 32.9, (2 7 0); 47.23 deg, I 32.0, (2 0 -1); 42.58 deg, I 26.8, (1 9 -1); 45.27 deg, I 20.4, (0 4 3)


[10]
Simulated powder diffraction line list
Compound: Ho5SbPt2
Radiation: copper Kα
Structure: a cell relaxed with GGA-PBE
No peak broadening, texture or thermal motion is included.

Structure:
Unit cell a=7.7185 b=7.7185 c=13.6148 alpha=90.00 beta=90.00 gamma=90.00
Space group I4/mcm (No. 140)
One atom of each set of equivalent atoms:
Ho 0.0000 0.0000 0.0000
Ho 0.1573 0.3427 0.1392
Sb 0.0000 0.0000 0.2500
Pt 0.1384 0.3616 0.5000

Top 10 peaks for 5 to 70 degrees two-theta, by intensity:
32.59 deg, I 100.0, (2 1 3); 36.82 deg, I 49.8, (3 1 0); 13.01 deg, I 19.6, (0 0 2); 42.27 deg, I 19.5, (2 1 5); 68.67 deg, I 16.7, (5 2 3); 35.16 deg, I 16.6, (2 0 4); 67.04 deg, I 14.0, (3 1 8); 30.96 deg, I 10.5, (1 1 4); 52.91 deg, I 9.5, (4 1 3); 55.28 deg, I 8.3, (3 1 6)


[11]
Simulated powder diffraction line list
Compound: HoSc2Pt2
Radiation: copper Kα
Structure: a cell relaxed with GGA-PBE
No peak broadening, texture or thermal motion is included.

Structure:
Unit cell a=4.7035 b=4.7035 c=5.7391 alpha=90.00 beta=90.00 gamma=120.00
Space group P-3m1 (No. 164)
One atom of each set of equivalent atoms:
Ho 0.0000 0.0000 0.0000
Sc 0.3333 0.6667 0.6557
Pt 0.3333 0.6667 0.1853

Top 10 peaks for 5 to 70 degrees two-theta, by intensity:
38.32 deg, I 100.0, (1 1 0); 26.84 deg, I 44.6, (0 1 1); 15.44 deg, I 26.6, (0 0 1); 69.23 deg, I 26.1, (3 0 0); 55.31 deg, I 16.9, (2 0 2); 41.50 deg, I 14.3, (1 1 1); 52.87 deg, I 10.9, (1 0 3); 47.36 deg, I 10.0, (2 0 1); 62.45 deg, I 9.0, (1 2 1); 69.45 deg, I 8.3, (1 0 4)


[12]
Simulated powder diffraction line list
Compound: Ho5Pt2Se2
Radiation: copper Kα
Structure: a cell relaxed with GGA-PBE
No peak broadening, texture or thermal motion is included.

Structure:
Unit cell a=14.9079 b=7.5964 c=7.6236 alpha=90.00 beta=90.00 gamma=90.00
Space group Cmce (No. 64)
One atom of each set of equivalent atoms:
Ho 0.0000 0.0000 0.0000
Ho 0.1288 0.1613 0.3437
Pt 0.0000 0.1391 0.6367
Se 0.2046 0.0000 0.0000

Top 10 peaks for 5 to 70 degrees two-theta, by intensity:
31.85 deg, I 100.0, (3 1 2); 35.75 deg, I 95.2, (4 2 1); 11.87 deg, I 77.2, (2 0 0); 37.93 deg, I 62.0, (1 3 1); 37.82 deg, I 58.0, (1 1 3); 40.19 deg, I 42.9, (5 1 2); 33.66 deg, I 35.7, (4 2 0); 28.86 deg, I 26.8, (2 2 1); 68.80 deg, I 24.3, (9 3 1); 57.82 deg, I 21.8, (7 3 1)


[13]
Simulated powder diffraction line list
Compound: HoSi3Pt2
Radiation: copper Kα
Structure: a cell relaxed with GGA-PBE
No peak broadening, texture or thermal motion is included.

Structure:
Unit cell a=15.4921 b=4.0653 c=7.1807 alpha=90.00 beta=115.58 gamma=90.00
Space group C2/m (No. 12)
One atom of each set of equivalent atoms:
Ho 0.1255 0.0000 0.1566
Si 0.0448 0.0000 0.6754
Si 0.1594 0.5000 0.4650
Si 0.1824 0.5000 0.8909
Pt 0.0119 0.5000 0.8160
Pt 0.2110 0.0000 0.6989

Top 10 peaks for 5 to 70 degrees two-theta, by intensity:
29.16 deg, I 100.0, (3 1 0); 34.10 deg, I 71.5, (3 1 -2); 46.28 deg, I 60.1, (5 1 -3); 35.81 deg, I 59.4, (3 1 1); 36.47 deg, I 53.0, (5 1 -1); 44.58 deg, I 50.3, (0 2 0); 27.54 deg, I 50.2, (0 0 2); 33.76 deg, I 44.3, (1 1 -2); 34.86 deg, I 32.3, (6 0 -1); 46.81 deg, I 29.2, (6 0 1)